For NaSbTe, the GGA-PBE geometry in Alexandria gives the calculated X-ray powder pattern in this record (Cu Kα (weighted mean of Kα1 and Kα2)).
No peak broadening, texture or thermal motion is included.

Atomic structure:
a = 4.642 Å, b = 4.504 Å, c = 9.457 Å
α = 90.00°, β = 100.33°, γ = 90.00°
Fractional coordinates of all 6 atoms:
1 Na 0.159 0.000 0.156
2 Na 0.841 0.500 0.844
3 Sb 0.212 0.083 0.519
4 Sb 0.788 0.583 0.481
5 Te 0.339 0.002 0.819
6 Te 0.661 0.502 0.181

Main lines, most intense first (2θ = 5–70°):
2θ (°), intensity
27.82, 100
28.79, 54
20.07, 40
21.92, 36
43.05, 34
37.73, 32